Theoretical powder diffraction line list
Compound: Pr8Al2Ni
Radiation: Cu Ka
Structure: a GGA-PBE-relaxed structure

Cell and atoms:
```
Pr8Al2Ni
1.0
9.4741 -2.5765 0.0000
9.4741 2.5765 0.0000
-1.6025 0.0000 6.7519
Pr Al Ni
8 2 1
Direct
0.0174 0.0174 0.2812 Pr
0.2093 0.2093 0.7977 Pr
0.3498 0.3498 0.5284 Pr
0.4067 0.4067 0.0411 Pr
0.5933 0.5933 0.9589 Pr
0.6502 0.6502 0.4716 Pr
0.7907 0.7907 0.2023 Pr
0.9826 0.9826 0.7188 Pr
0.1853 0.1853 0.2421 Al
0.8147 0.8147 0.7579 Al
0.5000 0.5000 0.5000 Ni
```

Top 10 peaks for 15° ≤ 2θ ≤ 90°, in order of falling intensity:
2.577 Å, 34.81°, intensity 100
2.999 Å, 29.80°, intensity 98
2.876 Å, 31.10°, intensity 87
3.081 Å, 28.98°, intensity 74
2.714 Å, 33.00°, intensity 73
3.207 Å, 27.82°, intensity 66
2.955 Å, 30.25°, intensity 48
1.976 Å, 45.92°, intensity 46
1.479 Å, 62.82°, intensity 30
2.778 Å, 32.23°, intensity 26